Entry 1:
Starting from a crystal structure in Alexandria, relaxed with GGA-PBE, the powder diffraction line list of CdTc2BiO8 was simulated for CuKα.
Intensities are scaled so that the largest is 1000.

Crystal structure
Cell lengths 5.8156, 5.8156, 25.1220 Å; angles 90.00, 90.00, 120.00 degrees
Space group R-3 (No. 148, hexagonal axes)
Asymmetric unit:
Cd 0.0000 0.0000 0.0000 (multiplicity 3)
Tc 0.0000 0.0000 0.2432 (multiplicity 6)
Bi 0.0000 0.0000 0.5000 (multiplicity 3)
O 0.0000 0.0000 0.3116 (multiplicity 6)
O 0.0296 0.3018 0.2185 (multiplicity 18)

Largest 10 diffraction maxima, by intensity, 15° ≤ 2θ ≤ 90°:
| 2theta | intensity | (hkl) |
| --- | --- | --- |
| 22.63 | 1000 | 1 0 4 |
| 30.75 | 415 | 1 1 0 |
| 33.63 | 276 | 0 1 8 |
| 50.07 | 216 | 2 1 4 |
| 38.52 | 204 | 0 2 4 |
| 53.97 | 177 | 1 1 12 |
| 56.53 | 130 | 1 2 8 |
| 46.21 | 130 | 2 0 8 |
| 54.67 | 115 | 3 0 0 |
| 68.86 | 92 | 1 3 4 |

***

Entry 2:
Starting from a crystal structure in Alexandria, relaxed with GGA-PBE, the powder diffraction line list of U2Co2As3 was simulated for CuKα.
Intensities are scaled so that the largest is 1000.

Crystal structure
Cell lengths 10.157, 3.697, 6.636 Å; angles 90.00, 112.93, 90.00 degrees
Space group C2/m (No. 12)
Asymmetric unit:
U 0.183 0.000 0.358 (multiplicity 4)
Co 0.113 0.000 0.765 (multiplicity 4)
As 0.000 0.500 0.500 (multiplicity 2)
As 0.128 0.500 0.990 (multiplicity 4)

Largest 10 diffraction maxima, by intensity, 15° ≤ 2θ ≤ 90°:
| 2theta | intensity | (hkl) |
| --- | --- | --- |
| 36.43 | 1000 | 1 1 -2 |
| 44.73 | 479 | 3 1 1 |
| 31.63 | 412 | 1 1 1 |
| 35.35 | 375 | 4 0 -1 |
| 37.74 | 368 | 3 1 0 |
| 49.29 | 267 | 0 2 0 |
| 18.87 | 254 | 2 0 -1 |
| 18.97 | 210 | 2 0 0 |
| 38.28 | 199 | 4 0 -2 |
| 27.95 | 173 | 2 0 -2 |

***

Entry 3:
Starting from a crystal structure in Alexandria, relaxed with GGA-PBE, the powder diffraction line list of Sc2CuP2 was simulated for CuKα.
Intensities are scaled so that the largest is 1000.

Crystal structure
Cell lengths 6.809, 6.809, 3.583 Å; angles 90.00, 90.00, 90.00 degrees
Space group P4/mbm (No. 127)
Asymmetric unit:
Sc 0.156 0.344 0.000 (multiplicity 4)
Cu 0.000 0.000 0.500 (multiplicity 2)
P 0.156 0.656 0.500 (multiplicity 4)

Largest 10 diffraction maxima, by intensity, 15° ≤ 2θ ≤ 90°:
| 2theta | intensity | (hkl) |
| --- | --- | --- |
| 38.81 | 1000 | 2 1 1 |
| 41.96 | 684 | 3 1 0 |
| 31.12 | 429 | 1 1 1 |
| 36.40 | 293 | 2 0 1 |
| 68.09 | 291 | 3 1 2 |
| 50.98 | 194 | 0 0 2 |
| 37.35 | 177 | 2 2 0 |
| 80.56 | 144 | 5 2 1 |
| 61.86 | 131 | 4 1 1 |
| 60.84 | 111 | 4 2 0 |

***

Entry 4:
Starting from a crystal structure in Alexandria, relaxed with GGA-PBE, the powder diffraction line list of CsAcSnBr6 was simulated for CuKα.
Intensities are scaled so that the largest is 1000.

Crystal structure
Cell lengths 10.861, 11.170, 15.823 Å; angles 90.00, 90.00, 90.00 degrees
Space group Imma (No. 74)
Asymmetric unit:
Cs 0.000 0.250 0.035 (multiplicity 4)
Ac 0.000 0.000 0.500 (multiplicity 4)
Sn 0.250 0.250 0.750 (multiplicity 4)
Br 0.000 0.250 0.420 (multiplicity 4)
Br 0.000 0.250 0.814 (multiplicity 4)
Br 0.215 0.058 0.617 (multiplicity 16)

Largest 10 diffraction maxima, by intensity, 15° ≤ 2θ ≤ 90°:
| 2theta | intensity | (hkl) |
| --- | --- | --- |
| 18.73 | 1000 | 1 2 1 |
| 19.83 | 622 | 2 0 2 |
| 32.26 | 573 | 2 2 4 |
| 29.36 | 455 | 0 3 3 |
| 37.96 | 421 | 2 0 6 |
| 32.99 | 368 | 4 0 0 |
| 41.19 | 358 | 3 2 5 |
| 33.58 | 315 | 1 2 5 |
| 27.90 | 304 | 2 0 4 |
| 18.64 | 299 | 0 1 3 |